# 1
Simulated XRD peak list of TlCrGeCl5 for Cu Kα, 1.54184 Å, from the PBE geometry in Alexandria.
Neutral-atom scattering factors, no anomalous dispersion.

Peak list (6 most intense, 10° ≤ 2θ ≤ 90°, sorted by position)
2θ (°)	I (rel.)
15.2	353
21.3	783
22.4	486
25.0	1000
32.2	461
39.7	503

Structure:
```
16
Lattice="4.2355 -5.9234 0.0000 4.2355 5.9234 0.0000 -1.6284 0.0000 8.8061" Properties=species:S:1:pos:R:3 pbc="T T T"
Tl 3.0142 3.9981 6.6046
Tl 3.8284 -3.9981 2.2015
Cr 4.2355 0.0000 0.0000
Cr 3.4213 0.0000 4.4031
Ge 3.8284 4.3553 2.2015
Ge 3.0142 -4.3553 6.6046
Cl 2.6658 2.7470 3.4284
Cl 0.3547 0.7471 8.7519
Cl 1.1689 -0.7471 4.3488
Cl 4.9910 2.7470 0.9746
Cl 3.0142 0.8960 6.6046
Cl 3.8284 -0.8960 2.2015
Cl 1.8516 -2.7470 7.8315
Cl 5.6738 0.7471 4.4573
Cl 6.4880 -0.7471 0.0543
Cl 4.1768 -2.7470 5.3777
```

---

# 2
Simulated XRD peak list of LiAcCd2Pt2 for Cu Kα, 1.54184 Å, from the PBE geometry in Alexandria.
Neutral-atom scattering factors, no anomalous dispersion.

Peak list (6 most intense, 10° ≤ 2θ ≤ 90°, sorted by position)
2θ (°)	I (rel.)
26.8	1000
28.5	195
30.9	315
40.8	374
46.2	351
49.5	386

Structure:
```
6
Lattice="-2.2122 2.2122 7.5659 2.2122 -2.2122 7.5659 2.2122 2.2122 -7.5659" Properties=species:S:1:pos:R:3 pbc="T T T"
Li 0.0000 0.0000 0.0000
Ac 0.0000 0.0000 7.5659
Cd 2.2122 0.0000 3.7829
Cd 0.0000 2.2122 3.7829
Pt 0.0000 0.0000 2.1513
Pt 0.0000 0.0000 12.9805
```

---

# 3
Simulated XRD peak list of CeP4Ru6 for Cu Kα, 1.54184 Å, from the PBE geometry in Alexandria.
Neutral-atom scattering factors, no anomalous dispersion.

Peak list (6 most intense, 10° ≤ 2θ ≤ 90°, sorted by position)
2θ (°)	I (rel.)
27.9	169
38.3	1000
39.7	239
46.7	187
48.1	192
52.8	187

Structure:
```
11
Lattice="6.9346 0.0000 0.0000 -3.4673 6.0055 0.0000 0.0000 0.0000 3.7825" Properties=species:S:1:pos:R:3 pbc="T T T"
Ce 0.0000 0.0000 0.0000
P 0.0000 2.3220 1.8913
P -1.4564 4.8445 1.8913
P 1.4564 4.8445 1.8913
P 3.4673 2.0018 0.0000
Ru -1.3859 3.2035 0.0000
Ru 2.0651 1.1923 1.8913
Ru 1.3859 3.2035 0.0000
Ru 0.0000 5.6040 0.0000
Ru 4.8695 1.1923 1.8913
Ru 3.4673 3.6210 1.8913
```

---

# 4
Simulated XRD peak list of Tm3Ga2Pb2 for Cu Kα, 1.54184 Å, from the PBE geometry in Alexandria.
Neutral-atom scattering factors, no anomalous dispersion.

Peak list (6 most intense, 10° ≤ 2θ ≤ 90°, sorted by position)
2θ (°)	I (rel.)
28.2	432
30.7	1000
34.9	495
41.1	452
41.4	309
42.2	295

Structure:
```
7
Lattice="-2.1439 2.1799 9.4822 2.1439 -2.1799 9.4822 2.1439 2.1799 -9.4822" Properties=species:S:1:pos:R:3 pbc="T T T"
Tm 0.0000 0.0000 0.0000
Tm 2.1439 0.0000 3.3627
Tm 0.0000 2.1799 6.1195
Ga 0.0000 0.0000 8.2826
Ga 0.0000 0.0000 10.6818
Pb 2.1439 0.0000 6.4976
Pb 0.0000 2.1799 2.9846
```

---

# 5
Simulated XRD peak list of Pm2Pr4DyTh for Cu Kα, 1.54184 Å, from the PBE geometry in Alexandria.
Neutral-atom scattering factors, no anomalous dispersion.

Peak list (6 most intense, 10° ≤ 2θ ≤ 90°, sorted by position)
2θ (°)	I (rel.)
29.1	636
31.9	1000
41.7	243
53.4	353
53.5	117
58.5	133

Structure:
```
8
Lattice="6.1251 0.0000 0.0000 0.0000 6.1365 0.0000 -0.0178 0.0000 7.3505" Properties=species:S:1:pos:R:3 pbc="T T T"
Pm 0.0000 0.0000 0.0000
Pm 3.0536 3.0682 3.6753
Pr -0.0041 3.0682 1.7973
Pr 6.1114 3.0682 5.5532
Pr 3.0562 0.0000 1.7955
Pr 3.0511 0.0000 5.5550
Dy -0.0089 0.0000 3.6753
Th 3.0625 3.0682 0.0000
```